For BaInMoF6, a crystal structure in Alexandria, relaxed with PBE+U gives the simulated powder X-ray diffraction pattern in this record (copper Kα).

Peak list (10 most intense, 5 to 70 degrees two-theta, low angle first)
(hkl)	two_theta	d [Å]	I_rel
1 0 2	25.09	3.549	100
1 1 0	26.70	3.339	69
1 1 2	33.43	2.680	18
2 0 2	36.97	2.432	35
2 1 2	46.18	1.966	38
3 0 0	47.15	1.928	28
1 1 4	48.85	1.864	45
2 2 0	55.01	1.669	10
4 -1 2	61.38	1.511	16
3 0 4	63.59	1.463	11

Structure:
Lattice parameters (Å, degrees): 6.6772 6.6772 8.9902 90.00 90.00 120.00
Space group P-31c (No. 163)
One atom of each set of equivalent atoms:
1 Ba 0.3333 0.6667 0.2500 (multiplicity 2)
2 In 0.0000 0.0000 0.0000 (multiplicity 2)
3 Mo 0.3333 0.6667 0.7500 (multiplicity 2)
4 F 0.0604 0.3990 0.6285 (multiplicity 12)